The following is a simulated XRD peak list of K3Al3OF12. It was derived from a cell relaxed with PBE, using Cu Ka.
Lines closer than 0.1° are merged.

Atomic structure:
```
38
Lattice="7.173 0.000 0.000 0.000 12.267 0.000 0.000 0.000 6.760" Properties=species:S:1:pos:R:3 pbc="T T T"
K 1.793 0.930 0.139
K 1.793 5.203 0.139
K 1.793 9.201 4.537
K 5.380 3.067 2.223
K 5.380 7.064 6.621
K 5.380 11.337 6.621
Al 0.000 0.000 3.380
Al 0.000 6.134 3.380
Al 1.793 3.067 3.695
Al 3.587 0.000 3.380
Al 3.587 6.134 3.380
Al 5.380 9.201 3.065
O 1.793 9.201 0.750
O 5.380 3.067 6.010
F 0.278 6.558 5.091
F 0.278 11.843 5.091
F 0.449 1.770 3.716
F 0.449 4.364 3.716
F 1.793 3.067 1.917
F 1.793 3.067 5.465
F 1.793 6.560 2.990
F 1.793 11.841 2.990
F 3.138 1.770 3.716
F 3.138 4.364 3.716
F 3.308 6.558 5.091
F 3.308 11.843 5.091
F 3.865 0.425 1.669
F 3.865 5.709 1.669
F 4.035 7.903 3.044
F 4.035 10.498 3.044
F 5.380 0.426 3.770
F 5.380 5.707 3.770
F 5.380 9.201 1.295
F 5.380 9.201 4.843
F 6.725 7.903 3.044
F 6.725 10.498 3.044
F 6.895 0.425 1.669
F 6.895 5.709 1.669
```

Peak list (10 most intense, 2θ from 15° to 90°, low angle first)
2θ/deg, intensity
28.2, 65
28.4, 100
28.8, 89
29.1, 66
30.1, 45
31.8, 42
39.5, 48
46.0, 44
50.9, 41
51.4, 62